Simulated powder diffraction line list of ScAlP for λ = 1.5418 Å (Cu Kα), from the GGA-PBE geometry in Alexandria.
Lines closer than 0.1° are merged.

Top 8 peaks for 2θ from 5° to 70°, by angle:
hkl 1 1 1, 28.84°, I = 122; hkl 0 2 0, 35.70°, I = 368; hkl 1 1 3, 39.35°, I = 1000; hkl 2 0 0, 41.99°, I = 226; hkl 2 2 0, 56.27°, I = 180; hkl 0 0 6, 57.46°, I = 83; hkl 1 3 3, 66.58°, I = 192; hkl 0 2 6, 69.51°, I = 90

Crystal structure
abc: 4.3033 5.0299 9.6233
angles: 90.00 90.00 90.00
Positions (direct):
Sc 0.0000 0.0000 0.0000
Sc 0.0000 0.5000 0.5000
Sc 0.5000 0.0000 0.5000
Sc 0.5000 0.5000 0.0000
Al 0.0000 0.0000 0.2973
Al 0.0000 0.5000 0.7973
Al 0.5000 0.0000 0.7973
Al 0.5000 0.5000 0.2973
P 0.0000 0.0000 0.6690
P 0.0000 0.5000 0.1690
P 0.5000 0.0000 0.1690
P 0.5000 0.5000 0.6690